# BaCaDyFeO6
Computed XRD peak list, Cu Kα, 1.54184 Å. Input: a crystal structure in Alexandria, relaxed with GGA+U.

Crystal structure
```
data_BaCaDyFeO6
_chemical_formula_sum 'Ba4 Ca4 Dy4 Fe4 O24'
_cell_length_a 8.1808
_cell_length_b 8.1808
_cell_length_c 8.1808
_cell_angle_alpha 90.00
_cell_angle_beta 90.00
_cell_angle_gamma 90.00
_space_group_name_H-M_alt 'F -4 3 m'
_space_group_IT_number 216
_space_group_name_Hall 'F -4 2 3'
loop_
_atom_site_label
_atom_site_type_symbol
_atom_site_fract_x
_atom_site_fract_y
_atom_site_fract_z
Ba1 Ba 0.0000 0.0000 0.0000
Ca1 Ca 0.0000 0.0000 0.5000
Dy1 Dy 0.2500 0.2500 0.2500
Fe1 Fe 0.2500 0.2500 0.7500
O1 O 0.0188 0.2500 0.7500
```

Main lines, low angle first (2θ from 10° to 80°):
index  d (Å)  2θ (°)  intensity
1 1 1  4.723  18.79  26
2 0 0  4.090  21.73  6
2 2 0  2.892  30.92  100
3 1 1  2.467  36.43  19
4 0 0  2.045  44.29  33
3 3 1  1.877  48.51  10
4 2 2  1.670  54.99  39
3 3 3  1.574  58.64  6
4 4 0  1.446  64.43  19
6 2 0  1.293  73.17  17